No. 1
Calculated powder diffraction line list
Compound: KMg2Os2O7
Radiation: Cu Kα X-rays
Structure: the PBE geometry in Alexandria
Neutral-atom scattering factors, no anomalous dispersion.

Cell and atoms:
```
data_KMg2Os2O7
_cell_length_a 4.0105
_cell_length_b 4.0105
_cell_length_c 17.2370
_cell_angle_alpha 90.00
_cell_angle_beta 90.00
_cell_angle_gamma 90.00
_symmetry_space_group_name_H-M 'I 4/m m m'
_symmetry_Int_Tables_number 139
_symmetry_space_group_name_Hall '-I 4 2'
loop_
_atom_site_label
_atom_site_type_symbol
_atom_site_fract_x
_atom_site_fract_y
_atom_site_fract_z
K1 K 0.0000 0.0000 0.0000
Mg1 Mg 0.0000 0.5000 0.2500
Os1 Os 0.0000 0.0000 0.3885
O1 O 0.0000 0.0000 0.2687
O2 O 0.0000 0.0000 0.5000
O3 O 0.0000 0.5000 0.1242
```

Largest 8 diffraction maxima, by angle, 2θ from 10° to 80°:
(hkl)  two_theta  d_spacing  intensity
0 0 4  20.61  4.309  35
1 0 1  22.77  3.906  100
1 0 3  27.12  3.289  47
1 1 0  31.55  2.836  38
1 0 5  34.30  2.614  64
1 1 4  37.98  2.369  25
2 0 0  45.22  2.005  38
2 1 5  57.96  1.591  29

No. 2
Calculated powder diffraction line list
Compound: Ac4Tl2I3
Radiation: Cu Kα X-rays
Structure: the PBE geometry in Alexandria
Neutral-atom scattering factors, no anomalous dispersion.

Cell and atoms:
```
data_Ac4Tl2I3
_cell_length_a 4.7713
_cell_length_b 4.7713
_cell_length_c 20.0460
_cell_angle_alpha 90.00
_cell_angle_beta 90.00
_cell_angle_gamma 120.00
_symmetry_space_group_name_H-M 'P -3 m 1'
_symmetry_Int_Tables_number 164
_symmetry_space_group_name_Hall '-P 3 2"'
loop_
_atom_site_label
_atom_site_type_symbol
_atom_site_fract_x
_atom_site_fract_y
_atom_site_fract_z
Ac1 Ac 0.0000 0.0000 0.2002
Ac2 Ac 0.3333 0.6667 0.3902
Tl1 Tl 0.3333 0.6667 0.7027
I1 I 0.0000 0.0000 0.5000
I2 I 0.3333 0.6667 0.0986
```

Largest 8 diffraction maxima, by angle, 2θ from 10° to 80°:
(hkl)  two_theta  d_spacing  intensity
1 0 3  25.34  3.514  100
1 0 4  27.99  3.188  25
0 1 6  34.52  2.598  20
1 1 0  37.71  2.386  46
0 1 7  38.24  2.354  29
0 2 3  45.98  1.974  21
1 1 10  60.31  1.535  21
2 1 3  60.92  1.521  18